# Tb4Mn
Simulated X-ray powder pattern, Cu Ka. Input: a cell relaxed with GGA-PBE.
Neutral-atom scattering factors, no anomalous dispersion.

Largest 10 diffraction maxima, sorted by position, 10 to 80 degrees two-theta:
d (Å)	2θ/deg	I/Imax
5.312	16.7	3.0
3.756	23.7	2.6
3.067	29.1	100.0
2.656	33.7	73.2
2.375	37.9	1.4
1.878	48.5	52.8
1.602	57.5	45.1
1.533	60.4	18.2
1.328	71.0	8.4
1.219	78.5	18.4

Atomic structure:
```
Tb4Mn
1.0
5.312 0.000 0.000
0.000 5.312 0.000
0.000 0.000 5.312
Tb Mn
4 1
direct
0.000 0.000 0.000
0.000 0.500 0.500
0.500 0.000 0.500
0.500 0.500 0.000
0.500 0.500 0.500
```


# TbMnTe3
Simulated X-ray powder pattern, Cu Ka. Input: a cell relaxed with GGA-PBE.
Neutral-atom scattering factors, no anomalous dispersion.

Largest 10 diffraction maxima, sorted by position, 10 to 80 degrees two-theta:
d (Å)	2θ/deg	I/Imax
7.820	11.3	18.9
3.364	26.5	41.2
3.003	29.8	88.1
2.865	31.2	100.0
2.761	32.4	49.5
2.629	34.1	35.0
2.443	36.8	16.8
2.303	39.1	48.7
2.106	42.9	40.9
1.321	71.4	20.2

Atomic structure:
```
TbMnTe3
1.0
7.839 0.000 0.000
0.000 4.212 0.000
-0.605 0.000 8.586
Tb Mn Te
2 2 6
direct
0.120 0.250 0.285
0.880 0.750 0.715
0.352 0.750 0.836
0.648 0.250 0.164
0.126 0.250 0.905
0.227 0.750 0.537
0.402 0.750 0.161
0.598 0.250 0.839
0.773 0.250 0.463
0.874 0.750 0.095
```


# TbU2Mn9
Simulated X-ray powder pattern, Cu Ka. Input: a cell relaxed with GGA-PBE.
Neutral-atom scattering factors, no anomalous dispersion.

Largest 10 diffraction maxima, sorted by position, 10 to 80 degrees two-theta:
d (Å)	2θ/deg	I/Imax
5.077	17.5	24.5
3.707	24.0	16.9
2.994	29.8	27.5
2.538	35.4	29.9
2.329	38.7	56.7
2.165	41.7	19.4
2.094	43.2	100.0
2.011	45.1	17.6
1.548	59.7	17.6
1.369	68.5	18.3

Atomic structure:
```
TbU2Mn9
1.0
8.290 0.000 0.000
0.000 8.290 0.000
0.000 0.000 5.077
Tb U Mn
2 4 18
direct
0.000 0.000 0.000
0.500 0.500 0.000
0.111 0.389 0.000
0.389 0.889 0.000
0.611 0.111 0.000
0.889 0.611 0.000
0.000 0.500 0.500
0.069 0.208 0.500
0.184 0.684 0.248
0.184 0.684 0.752
0.208 0.931 0.500
0.292 0.431 0.500
0.316 0.184 0.248
0.316 0.184 0.752
0.431 0.708 0.500
0.500 0.000 0.500
0.569 0.292 0.500
0.684 0.816 0.248
0.684 0.816 0.752
0.708 0.569 0.500
0.792 0.069 0.500
0.816 0.316 0.248
0.816 0.316 0.752
0.931 0.792 0.500
```


# TbYMn17
Simulated X-ray powder pattern, Cu Ka. Input: a cell relaxed with GGA-PBE.
Neutral-atom scattering factors, no anomalous dispersion.

Largest 10 diffraction maxima, sorted by position, 10 to 80 degrees two-theta:
d (Å)	2θ/deg	I/Imax
2.890	30.9	33.2
2.752	32.5	24.9
2.498	36.0	43.5
2.299	39.2	65.0
2.163	41.8	93.1
2.101	43.1	100.0
2.030	44.6	29.4
1.979	45.9	28.5
1.890	48.2	30.3
1.507	61.5	24.1

Atomic structure:
```
TbYMn17
1.0
4.326 2.498 3.883
-4.326 2.498 3.883
0.000 -4.996 3.883
Tb Y Mn
1 1 17
direct
0.000 0.000 0.000
0.710 0.710 0.710
0.000 0.000 0.478
0.000 0.478 0.000
0.080 0.355 0.630
0.080 0.630 0.355
0.231 0.710 0.710
0.255 0.255 0.255
0.355 0.080 0.630
0.355 0.355 0.855
0.355 0.630 0.080
0.355 0.855 0.355
0.455 0.455 0.455
0.478 0.000 0.000
0.630 0.080 0.355
0.630 0.355 0.080
0.710 0.231 0.710
0.710 0.710 0.231
0.855 0.355 0.355
```


# Mn3Tc
Simulated X-ray powder pattern, Cu Ka. Input: a cell relaxed with GGA-PBE.
Neutral-atom scattering factors, no anomalous dispersion.

Largest 8 diffraction maxima, sorted by position, 10 to 80 degrees two-theta:
d (Å)	2θ/deg	I/Imax
3.348	26.6	7.3
2.899	30.8	3.8
2.050	44.2	100.0
1.748	52.3	3.6
1.674	54.8	1.1
1.450	64.3	15.1
1.330	70.8	1.5
1.297	73.0	1.4

Atomic structure:
```
Mn3Tc
1.0
0.000 2.899 2.899
2.899 0.000 2.899
2.899 2.899 0.000
Mn Tc
3 1
direct
0.000 0.000 0.000
0.250 0.250 0.250
0.750 0.750 0.750
0.500 0.500 0.500
```


# Mn4Tc3
Simulated X-ray powder pattern, Cu Ka. Input: a cell relaxed with GGA-PBE.
Neutral-atom scattering factors, no anomalous dispersion.

Largest 10 diffraction maxima, sorted by position, 10 to 80 degrees two-theta:
d (Å)	2θ/deg	I/Imax
4.554	19.5	42.5
3.128	28.5	14.2
2.277	39.6	22.6
2.181	41.4	66.8
2.152	42.0	76.6
2.013	45.0	65.7
1.945	46.7	100.0
1.323	71.3	30.4
1.242	76.7	25.2
1.240	76.9	31.9

Atomic structure:
```
Mn4Tc3
1.0
4.969 0.000 0.000
-2.484 4.303 0.000
0.000 0.000 4.554
Mn Tc
4 3
direct
0.000 0.000 0.222
0.000 0.000 0.778
0.333 0.667 0.000
0.667 0.333 0.000
0.000 0.500 0.500
0.500 0.000 0.500
0.500 0.500 0.500
```


# Ti4MnTc
Simulated X-ray powder pattern, Cu Ka. Input: a cell relaxed with GGA-PBE.
Neutral-atom scattering factors, no anomalous dispersion.

Largest 10 diffraction maxima, sorted by position, 10 to 80 degrees two-theta:
d (Å)	2θ/deg	I/Imax
4.774	18.6	15.9
2.595	34.6	4.3
2.217	40.7	100.0
2.186	41.3	50.4
1.987	45.7	6.1
1.625	56.7	7.6
1.591	58.0	6.9
1.546	59.8	15.5
1.286	73.6	12.9
1.268	74.9	28.8

Atomic structure:
```
Ti4MnTc
1.0
3.091 0.000 0.000
0.000 3.091 0.000
0.000 0.000 9.547
Ti Mn Tc
4 1 1
direct
0.000 0.000 0.146
0.000 0.000 0.854
0.500 0.500 0.345
0.500 0.500 0.655
0.500 0.500 0.000
0.000 0.000 0.500
```


# UTiMnTc
Simulated X-ray powder pattern, Cu Ka. Input: a cell relaxed with GGA-PBE.
Neutral-atom scattering factors, no anomalous dispersion.

Largest 10 diffraction maxima, sorted by position, 10 to 80 degrees two-theta:
d (Å)	2θ/deg	I/Imax
3.689	24.1	43.8
3.194	27.9	9.3
2.259	39.9	100.0
1.926	47.2	24.0
1.844	49.4	2.9
1.597	57.7	16.8
1.466	63.5	10.5
1.429	65.3	4.1
1.304	72.5	34.1
1.230	77.7	8.4

Atomic structure:
```
UTiMnTc
1.0
0.000 3.194 3.194
3.194 0.000 3.194
3.194 3.194 0.000
U Ti Mn Tc
1 1 1 1
direct
0.000 0.000 0.000
0.500 0.500 0.500
0.250 0.250 0.250
0.750 0.750 0.750
```


# Tm2Mn16Tc
Simulated X-ray powder pattern, Cu Ka. Input: a cell relaxed with GGA-PBE.
Neutral-atom scattering factors, no anomalous dispersion.

Largest 10 diffraction maxima, sorted by position, 10 to 80 degrees two-theta:
d (Å)	2θ/deg	I/Imax
4.321	20.6	25.0
2.890	30.9	42.3
2.717	33.0	24.5
2.495	36.0	62.3
2.300	39.2	74.0
2.161	41.8	100.0
2.100	43.1	98.7
2.031	44.6	41.9
1.980	45.8	25.4
1.506	61.6	24.4

Atomic structure:
```
Tm2Mn16Tc
1.0
4.321 2.495 3.888
-4.321 2.495 3.888
0.000 -4.990 3.888
Tm Mn Tc
2 16 1
direct
0.000 0.000 0.000
0.289 0.289 0.289
0.002 0.002 0.522
0.002 0.522 0.002
0.145 0.645 0.645
0.285 0.285 0.772
0.285 0.772 0.285
0.367 0.647 0.925
0.367 0.925 0.647
0.522 0.002 0.002
0.645 0.145 0.645
0.645 0.645 0.145
0.647 0.367 0.925
0.647 0.925 0.367
0.748 0.748 0.748
0.772 0.285 0.285
0.925 0.367 0.647
0.925 0.647 0.367
0.545 0.545 0.545
```


# TmMn6Tc2
Simulated X-ray powder pattern, Cu Ka. Input: a cell relaxed with GGA-PBE.
Neutral-atom scattering factors, no anomalous dispersion.

Largest 10 diffraction maxima, sorted by position, 10 to 80 degrees two-theta:
d (Å)	2θ/deg	I/Imax
3.669	24.3	48.9
2.961	30.2	23.5
2.456	36.6	25.1
2.386	37.7	95.8
2.203	41.0	52.7
2.099	43.1	85.3
2.023	44.8	85.7
1.974	46.0	100.0
1.657	55.5	26.1
1.413	66.1	43.8

Atomic structure:
```
TmMn6Tc2
1.0
-1.387 3.312 6.610
1.387 -3.312 6.610
1.387 3.312 -6.610
Tm Mn Tc
1 6 2
direct
0.000 0.000 0.000
0.007 0.686 0.321
0.344 0.500 0.844
0.365 0.686 0.679
0.635 0.314 0.321
0.656 0.500 0.156
0.993 0.314 0.679
0.357 0.857 0.500
0.643 0.143 0.500
```


# TmMn2Tc
Simulated X-ray powder pattern, Cu Ka. Input: a cell relaxed with GGA-PBE.
Neutral-atom scattering factors, no anomalous dispersion.

Largest 10 diffraction maxima, sorted by position, 10 to 80 degrees two-theta:
d (Å)	2θ/deg	I/Imax
2.986	29.9	23.0
2.784	32.1	41.8
2.660	33.7	23.3
2.417	37.2	100.0
2.379	37.8	55.1
2.333	38.6	29.0
2.146	42.1	36.0
2.130	42.4	23.2
2.107	42.9	21.6
2.048	44.2	21.9

Atomic structure:
```
TmMn2Tc
1.0
5.713 0.000 0.000
-0.141 6.488 0.000
-1.146 -3.133 7.125
Tm Mn Tc
4 8 4
direct
0.074 0.273 0.021
0.349 0.870 0.774
0.651 0.130 0.226
0.926 0.727 0.979
0.000 0.000 0.500
0.000 0.500 0.500
0.192 0.131 0.325
0.416 0.662 0.068
0.500 0.000 0.500
0.500 0.500 0.500
0.584 0.338 0.932
0.808 0.869 0.675
0.223 0.683 0.327
0.276 0.369 0.708
0.724 0.631 0.292
0.777 0.317 0.673
```


# UMnTc
Simulated X-ray powder pattern, Cu Ka. Input: a cell relaxed with GGA-PBE.
Neutral-atom scattering factors, no anomalous dispersion.

Largest 10 diffraction maxima, sorted by position, 10 to 80 degrees two-theta:
d (Å)	2θ/deg	I/Imax
3.778	23.6	60.8
2.812	31.8	21.0
2.256	40.0	100.0
2.181	41.4	91.7
1.889	48.2	10.0
1.723	53.1	30.8
1.568	58.9	32.5
1.318	71.6	23.7
1.273	74.5	33.3
1.259	75.5	15.8

Atomic structure:
```
UMnTc
1.0
4.362 0.000 0.000
-2.181 3.778 0.000
0.000 0.000 2.812
U Mn Tc
1 1 1
direct
0.000 0.000 0.000
0.667 0.333 0.224
0.333 0.667 0.721
```